Starting from a structure optimized by DFT (GGA-PBE), the powder X-ray diffraction pattern of Na3P2O8 was computed for Cu Kα X-rays.
Intensities are scaled so that the largest is 100.

Principal peaks in the range 10° ≤ 2θ ≤ 90°, by intensity:
2θ (°), I_rel
31.1, 100
11.5, 93
18.5, 55
30.1, 53
32.2, 49
27.9, 49

Unit cell a=9.459 b=7.012 c=13.272 alpha=90.00 beta=125.41 gamma=90.00
Fractional positions:
Na: 0.003 0.123 0.248
Na: 0.003 0.377 0.748
Na: 0.293 0.143 0.061
Na: 0.293 0.357 0.561
Na: 0.334 0.651 0.767
Na: 0.334 0.849 0.267
Na: 0.666 0.151 0.733
Na: 0.666 0.349 0.233
Na: 0.707 0.643 0.439
Na: 0.707 0.857 0.939
Na: 0.997 0.623 0.252
Na: 0.997 0.877 0.752
P: 0.316 0.656 0.015
P: 0.316 0.844 0.515
P: 0.337 0.165 0.824
P: 0.337 0.335 0.324
P: 0.663 0.665 0.676
P: 0.663 0.835 0.176
P: 0.684 0.156 0.485
P: 0.684 0.344 0.985
O: 0.028 0.722 0.072
O: 0.028 0.778 0.572
O: 0.202 0.626 0.876
O: 0.202 0.874 0.376
O: 0.207 0.118 0.854
O: 0.207 0.382 0.354
O: 0.242 0.695 0.560
O: 0.242 0.805 0.060
O: 0.274 0.179 0.228
O: 0.274 0.321 0.728
O: 0.369 0.033 0.586
O: 0.369 0.467 0.086
O: 0.399 0.517 0.295
O: 0.399 0.983 0.795
O: 0.492 0.744 0.543
O: 0.492 0.756 0.043
O: 0.508 0.244 0.957
O: 0.508 0.256 0.457
O: 0.601 0.017 0.205
O: 0.601 0.483 0.705
O: 0.631 0.533 0.914
O: 0.631 0.967 0.414
O: 0.726 0.679 0.272
O: 0.726 0.821 0.772
O: 0.758 0.195 0.940
O: 0.758 0.305 0.440
O: 0.793 0.618 0.646
O: 0.793 0.882 0.146
O: 0.798 0.126 0.624
O: 0.798 0.374 0.124
O: 0.972 0.222 0.428
O: 0.972 0.278 0.928